Diffraction record for Cd2NiF6. The X-ray powder pattern is calculated, not measured: it uses DFT lattice parameters and positions (GGA+U) and CuKα.

Largest 6 diffraction maxima, in order of rising 2θ, 15° ≤ 2θ ≤ 90°:
index	Position (°2θ)	d [Å]	I (rel.)
1 1 0	24.98	3.565	100
1 0 3	31.74	2.819	73
2 0 0	35.62	2.521	17
2 1 3	48.45	1.879	69
2 2 0	51.26	1.782	18
3 0 3	61.56	1.506	22

Cell and atoms:
```
data_Cd2NiF6
_chemical_formula_sum 'Cd4 Ni2 F12'
_space_group_name_H-M_alt 'P 42/m n m'
_space_group_IT_number 136
_space_group_name_Hall '-P 4n 2n'
_cell_length_a 5.0413
_cell_length_b 5.0413
_cell_length_c 10.2004
_cell_angle_alpha 90.00
_cell_angle_beta 90.00
_cell_angle_gamma 90.00
loop_
_atom_site_label
_atom_site_fract_x
_atom_site_fract_y
_atom_site_fract_z
Cd1 0.0000 0.0000 0.1658
Ni1 0.0000 0.0000 0.5000
F1 0.1857 0.1857 0.3473
F2 0.2137 0.2137 0.0000
```